Diffraction record for Ho6TeAu2Se3. The powder diffraction line list is calculated, not measured: it uses a cell relaxed with PBE and a wavelength of 1.5418 Å.
Neutral-atom scattering factors, no anomalous dispersion.

Structural model:
a = 9.4872 Å, b = 9.4872 Å, c = 8.5152 Å
α = 107.49°, β = 107.49°, γ = 24.61°
Element x y z (fractional)
1 Ho 0.0106 0.0106 0.2731
2 Ho 0.3239 0.3239 0.8800
3 Ho 0.3398 0.3398 0.3940
4 Ho 0.6602 0.6602 0.6060
5 Ho 0.6761 0.6761 0.1200
6 Ho 0.9894 0.9894 0.7269
7 Te 0.5000 0.5000 0.0000
8 Au 0.1806 0.1806 0.3734
9 Au 0.8194 0.8194 0.6266
10 Se 0.1583 0.1583 0.8563
11 Se 0.5000 0.5000 0.5000
12 Se 0.8417 0.8417 0.1437

Main lines, low angle first (2θ from 10° to 80°):
30.40°, d 2.940, intensity 49
30.54°, d 2.927, intensity 100
42.33°, d 2.135, intensity 41
42.61°, d 2.122, intensity 14
44.82°, d 2.022, intensity 23
44.91°, d 2.018, intensity 26
50.98°, d 1.791, intensity 10
55.14°, d 1.666, intensity 18
63.57°, d 1.464, intensity 9
76.01°, d 1.252, intensity 8